Calculated X-ray diffraction stick pattern
Compound: TaInP2SO12
Radiation: Cu Kα
Structure: a GGA-PBE-relaxed structure
Peak positions follow from Bragg's law for the DFT cell and can differ from measured ones.

Crystal structure
Cell lengths 8.8886, 8.8886, 9.1980 Å; angles 119.36, 119.36, 59.73 degrees
Atoms (fractional coordinates):
Ta  0.2405  0.7595  0.5000
Ta  0.7595  0.2405  0.0000
In  0.0418  0.5376  0.8623
In  0.5376  0.0418  0.3623
P  0.1400  0.3617  0.1764
P  0.3617  0.1400  0.6764
P  0.8586  0.9318  0.1772
P  0.9318  0.8586  0.6772
S  0.4393  0.6370  0.1792
S  0.6370  0.4393  0.6792
O  0.0371  0.8972  0.3425
O  0.1049  0.8438  0.6521
O  0.1174  0.3831  0.0139
O  0.1668  0.5395  0.3412
O  0.1894  0.2960  0.7091
O  0.2823  0.6162  0.0200
O  0.2960  0.1894  0.2091
O  0.3466  0.9549  0.6457
O  0.3831  0.1174  0.5139
O  0.4090  0.6588  0.3354
O  0.4637  0.6050  0.6529
O  0.4798  0.7888  0.2034
O  0.5395  0.1668  0.8412
O  0.6050  0.4637  0.1529
O  0.6162  0.2823  0.5200
O  0.6588  0.4090  0.8354
O  0.6885  0.9793  0.2108
O  0.7710  0.8831  0.5143
O  0.7888  0.4798  0.7034
O  0.8438  0.1049  0.1521
O  0.8831  0.7710  0.0143
O  0.8972  0.0371  0.8425
O  0.9549  0.3466  0.1457
O  0.9793  0.6885  0.7108

Principal peaks in the range 15° ≤ 2θ ≤ 90°, most intense first:
d 4.438, intensity 100; d 4.563, intensity 83; d 3.185, intensity 72; d 2.878, intensity 46; d 4.596, intensity 44; d 3.823, intensity 31; d 2.582, intensity 28; d 2.559, intensity 25; d 2.895, intensity 22; d 1.788, intensity 20

Calculated X-ray diffraction stick pattern
Compound: ZnAu2F8
Radiation: Cu Kα
Structure: a GGA-PBE-relaxed structure
Peak positions follow from Bragg's law for the DFT cell and can differ from measured ones.

Crystal structure
Cell lengths 5.6397, 5.7737, 11.1242 Å; angles 90.00, 109.80, 90.00 degrees
Atoms (fractional coordinates):
Zn  0.0000  0.0000  0.0000
Zn  0.0000  0.5000  0.5000
Au  0.3668  0.2213  0.3302
Au  0.3668  0.2787  0.8302
Au  0.6332  0.7213  0.1698
Au  0.6332  0.7787  0.6698
F  0.0680  0.1243  0.1850
F  0.0680  0.3757  0.6850
F  0.1621  0.2215  0.4462
F  0.1621  0.2785  0.9462
F  0.3298  0.6869  0.5258
F  0.3298  0.8131  0.0258
F  0.4337  0.7147  0.2815
F  0.4337  0.7853  0.7815
F  0.5663  0.2147  0.2185
F  0.5663  0.2853  0.7185
F  0.6702  0.1869  0.9742
F  0.6702  0.3131  0.4742
F  0.8379  0.7215  0.0538
F  0.8379  0.7785  0.5538
F  0.9320  0.6243  0.3150
F  0.9320  0.8757  0.8150

Principal peaks in the range 15° ≤ 2θ ≤ 90°, most intense first:
d 3.589, intensity 100; d 3.877, intensity 96; d 3.907, intensity 73; d 3.220, intensity 63; d 2.536, intensity 36; d 2.778, intensity 35; d 2.887, intensity 34; d 5.306, intensity 33; d 2.744, intensity 29; d 1.691, intensity 25

Calculated X-ray diffraction stick pattern
Compound: RbFeCl4
Radiation: Cu Kα
Structure: a GGA-PBE-relaxed structure
Peak positions follow from Bragg's law for the DFT cell and can differ from measured ones.

Crystal structure
Cell lengths 11.5470, 7.2790, 9.5322 Å; angles 90.00, 90.00, 90.00 degrees
Atoms (fractional coordinates):
Rb  0.1798  0.2500  0.1624
Rb  0.3202  0.7500  0.6624
Rb  0.6798  0.2500  0.3376
Rb  0.8202  0.7500  0.8376
Fe  0.0676  0.2500  0.6892
Fe  0.4324  0.7500  0.1892
Fe  0.5676  0.2500  0.8108
Fe  0.9324  0.7500  0.3108
Cl  0.0812  0.0036  0.8253
Cl  0.0812  0.4964  0.8253
Cl  0.0983  0.7500  0.4238
Cl  0.2168  0.2500  0.5453
Cl  0.2832  0.7500  0.0453
Cl  0.4017  0.2500  0.9238
Cl  0.4188  0.5036  0.3253
Cl  0.4188  0.9964  0.3253
Cl  0.5812  0.0036  0.6747
Cl  0.5812  0.4964  0.6747
Cl  0.5983  0.7500  0.0762
Cl  0.7168  0.2500  0.9547
Cl  0.7832  0.7500  0.4547
Cl  0.9017  0.2500  0.5762
Cl  0.9188  0.5036  0.1747
Cl  0.9188  0.9964  0.1747

Principal peaks in the range 15° ≤ 2θ ≤ 90°, most intense first:
d 3.769, intensity 100; d 2.765, intensity 93; d 4.087, intensity 81; d 4.523, intensity 69; d 2.806, intensity 65; d 3.639, intensity 50; d 3.281, intensity 36; d 2.930, intensity 36; d 1.662, intensity 32; d 3.262, intensity 29

Calculated X-ray diffraction stick pattern
Compound: CaYTi2O6
Radiation: Cu Kα
Structure: a GGA-PBE-relaxed structure
Peak positions follow from Bragg's law for the DFT cell and can differ from measured ones.

Crystal structure
Cell lengths 7.7174, 5.5866, 5.3731 Å; angles 90.00, 90.00, 90.00 degrees
Atoms (fractional coordinates):
Ca  0.0000  0.1956  0.0000
Ca  0.5000  0.8044  0.5000
Y  0.0000  0.6867  0.5274
Y  0.5000  0.3133  0.0274
Ti  0.2495  0.2471  0.5123
Ti  0.2505  0.7529  0.0123
Ti  0.7505  0.2471  0.5123
Ti  0.7495  0.7529  0.0123
O  0.0000  0.2813  0.4265
O  0.0000  0.7781  0.1158
O  0.1978  0.9467  0.7051
O  0.2030  0.4582  0.8073
O  0.2970  0.5418  0.3073
O  0.3022  0.0533  0.2051
O  0.5000  0.2219  0.6158
O  0.5000  0.7187  0.9265
O  0.6978  0.0533  0.2051
O  0.7030  0.5418  0.3073
O  0.7970  0.4582  0.8073
O  0.8022  0.9467  0.7051

Principal peaks in the range 15° ≤ 2θ ≤ 90°, most intense first:
d 2.733, intensity 100; d 1.936, intensity 29; d 1.560, intensity 25; d 2.687, intensity 24; d 2.793, intensity 22; d 1.929, intensity 19; d 4.410, intensity 13; d 1.367, intensity 13; d 3.461, intensity 13; d 1.716, intensity 13

Calculated X-ray diffraction stick pattern
Compound: Ti2CdC
Radiation: Cu Kα
Structure: a GGA-PBE-relaxed structure
Peak positions follow from Bragg's law for the DFT cell and can differ from measured ones.

Crystal structure
Cell lengths 3.1051, 3.1051, 14.5437 Å; angles 90.00, 90.00, 120.00 degrees
Atoms (fractional coordinates):
Ti  0.3333  0.6667  0.0775
Ti  0.3333  0.6667  0.4225
Ti  0.6667  0.3333  0.5775
Ti  0.6667  0.3333  0.9225
Cd  0.3333  0.6667  0.7500
Cd  0.6667  0.3333  0.2500
C  0.0000  0.0000  0.0000
C  0.0000  0.0000  0.5000

Principal peaks in the range 15° ≤ 2θ ≤ 90°, most intense first:
d 2.352, intensity 100; d 2.424, intensity 22; d 2.689, intensity 20; d 1.553, intensity 18; d 1.307, intensity 16; d 1.800, intensity 16; d 2.644, intensity 16; d 1.385, intensity 16; d 3.636, intensity 14; d 1.296, intensity 13

Calculated X-ray diffraction stick pattern
Compound: LiO2
Radiation: Cu Kα
Structure: a GGA-PBE-relaxed structure
Peak positions follow from Bragg's law for the DFT cell and can differ from measured ones.

Crystal structure
Cell lengths 3.9857, 4.8961, 2.9611 Å; angles 90.00, 90.00, 90.00 degrees
Atoms (fractional coordinates):
Li  0.0000  0.0000  0.0000
Li  0.5000  0.5000  0.5000
O  0.1319  0.4144  0.0000
O  0.3681  0.9144  0.5000
O  0.6319  0.0856  0.5000
O  0.8681  0.5856  0.0000

Principal peaks in the range 15° ≤ 2θ ≤ 90°, most intense first:
d 2.377, intensity 100; d 2.534, intensity 90; d 3.091, intensity 64; d 2.086, intensity 37; d 2.448, intensity 32; d 2.138, intensity 28; d 1.370, intensity 22; d 1.705, intensity 20; d 1.481, intensity 15; d 1.345, intensity 14

Calculated X-ray diffraction stick pattern
Compound: K2In3AgSe6
Radiation: Cu Kα
Structure: a GGA-PBE-relaxed structure
Peak positions follow from Bragg's law for the DFT cell and can differ from measured ones.

Crystal structure
Cell lengths 8.4159, 8.4159, 21.8088 Å; angles 95.67, 95.67, 89.87 degrees
Atoms (fractional coordinates):
K  0.1073  0.7504  0.9173
K  0.2496  0.8927  0.5827
K  0.2926  0.3952  0.5828
K  0.3952  0.2926  0.0828
K  0.6048  0.7074  0.9172
K  0.7074  0.6048  0.4172
K  0.7504  0.1073  0.4173
K  0.8927  0.2496  0.0827
In  0.0599  0.4330  0.7500
In  0.1501  0.7797  0.1119
In  0.2203  0.8499  0.3881
In  0.2226  0.3492  0.3876
In  0.3492  0.2226  0.8876
In  0.4330  0.0599  0.2500
In  0.5670  0.9401  0.7500
In  0.6508  0.7774  0.1124
In  0.7774  0.6508  0.6124
In  0.7797  0.1501  0.6119
In  0.8499  0.2203  0.8881
In  0.9401  0.5670  0.2500
Ag  0.0626  0.9374  0.7500
Ag  0.4352  0.5648  0.2500
Ag  0.5648  0.4352  0.7500
Ag  0.9374  0.0626  0.2500
Se  0.0606  0.6600  0.6752
Se  0.0630  0.1713  0.6748
Se  0.1183  0.1954  0.9599
Se  0.1629  0.5279  0.1746
Se  0.1713  0.0630  0.1748
Se  0.1954  0.1183  0.4599
Se  0.2841  0.6178  0.4596
Se  0.3253  0.4732  0.8246
Se  0.3400  0.9394  0.8248
Se  0.3822  0.7159  0.0403
Se  0.4721  0.8371  0.3254
Se  0.4732  0.3253  0.3246
Se  0.5268  0.6747  0.6754
Se  0.5279  0.1629  0.6746
Se  0.6178  0.2841  0.9596
Se  0.6600  0.0606  0.1752
Se  0.6747  0.5268  0.1754
Se  0.7159  0.3822  0.5404
Se  0.8046  0.8817  0.5401
Se  0.8287  0.9370  0.8252
Se  0.8371  0.4721  0.8254
Se  0.8817  0.8046  0.0401
Se  0.9370  0.8287  0.3252
Se  0.9394  0.3400  0.3248

Principal peaks in the range 15° ≤ 2θ ≤ 90°, most intense first:
d 3.164, intensity 100; d 3.783, intensity 92; d 2.140, intensity 55; d 2.104, intensity 43; d 2.146, intensity 21; d 1.751, intensity 20; d 1.837, intensity 14; d 1.840, intensity 14; d 2.000, intensity 14; d 1.222, intensity 9

Calculated X-ray diffraction stick pattern
Compound: NaSrCeBiO6
Radiation: Cu Kα
Structure: a GGA-PBE-relaxed structure
Peak positions follow from Bragg's law for the DFT cell and can differ from measured ones.

Crystal structure
Cell lengths 8.5159, 8.5321, 8.5336 Å; angles 90.00, 90.00, 90.00 degrees
Atoms (fractional coordinates):
Na  0.2500  0.2500  0.2500
Na  0.2500  0.7500  0.7500
Na  0.7500  0.2500  0.2500
Na  0.7500  0.7500  0.7500
Sr  0.2500  0.2500  0.7500
Sr  0.2500  0.7500  0.2500
Sr  0.7500  0.2500  0.7500
Sr  0.7500  0.7500  0.2500
Ce  0.0000  0.0000  0.0000
Ce  0.0000  0.5000  0.5000
Ce  0.5000  0.0000  0.5000
Ce  0.5000  0.5000  0.0000
Bi  0.0000  0.0000  0.5000
Bi  0.0000  0.5000  0.0000
Bi  0.5000  0.0000  0.0000
Bi  0.5000  0.5000  0.5000
O  0.0348  0.0443  0.7448
O  0.0348  0.4557  0.7552
O  0.0432  0.2449  0.4659
O  0.0432  0.2551  0.0341
O  0.2447  0.5463  0.0310
O  0.2447  0.9537  0.4690
O  0.2553  0.5463  0.4690
O  0.2553  0.9537  0.0310
O  0.4568  0.2449  0.0341
O  0.4568  0.2551  0.4659
O  0.4652  0.0443  0.7552
O  0.4652  0.4557  0.7448
O  0.5348  0.5443  0.2552
O  0.5348  0.9557  0.2448
O  0.5432  0.7449  0.5341
O  0.5432  0.7551  0.9659
O  0.7447  0.0463  0.9690
O  0.7447  0.4537  0.5310
O  0.7553  0.0463  0.5310
O  0.7553  0.4537  0.9690
O  0.9568  0.7449  0.9659
O  0.9568  0.7551  0.5341
O  0.9652  0.5443  0.2448
O  0.9652  0.9557  0.2552

Principal peaks in the range 15° ≤ 2θ ≤ 90°, most intense first:
d 3.015, intensity 100; d 1.741, intensity 46; d 4.264, intensity 44; d 2.132, intensity 29; d 1.907, intensity 20; d 1.507, intensity 17; d 1.140, intensity 16; d 1.349, intensity 12; d 1.421, intensity 9; d 1.139, intensity 8